Diffraction record for LiBH8N2. The powder X-ray diffraction pattern is simulated, not measured: it uses a structure optimized by DFT (PBE) and Cu Kα (λ = 1.5418 Å).
Lines closer than 0.1° are merged.

Largest 10 diffraction maxima, in order of rising 2θ, 2θ = 5–70°:
- (0 0 2), 2θ 17.61, intensity 18
- (1 1 1), 2θ 18.47, intensity 75
- (2 0 -2), 2θ 19.99, intensity 26
- (1 1 -2), 2θ 21.62, intensity 30
- (3 1 -1), 2θ 25.84, intensity 75
- (0 2 0), 2θ 26.14, intensity 77
- (2 0 2), 2θ 26.33, intensity 51
- (0 2 1), 2θ 27.63, intensity 18
- (1 1 -3), 2θ 28.78, intensity 100
- (2 2 2), 2θ 37.44, intensity 15

Structure:
Unit cell a=12.0790 b=6.8173 c=10.4522 alpha=90.00 beta=105.54 gamma=90.00
Space group Cc (No. 9)
Asymmetric unit:
Li1 0.0000 0.1041 0.0000 (multiplicity 4)
Li2 0.2477 0.3615 0.9888 (multiplicity 4)
B1 0.0571 0.2979 0.8287 (multiplicity 4)
B2 0.3106 0.3029 0.5314 (multiplicity 4)
H1 0.0073 0.2465 0.5846 (multiplicity 4)
H2 0.0242 0.1259 0.8224 (multiplicity 4)
H3 0.0540 0.2834 0.4540 (multiplicity 4)
H4 0.0660 0.3640 0.9407 (multiplicity 4)
H5 0.0990 0.3130 0.2028 (multiplicity 4)
H6 0.1253 0.0857 0.2544 (multiplicity 4)
H7 0.1503 0.3033 0.8024 (multiplicity 4)
H8 0.2213 0.3631 0.4545 (multiplicity 4)
H9 0.2632 0.0659 0.1358 (multiplicity 4)
H10 0.2863 0.1872 0.6089 (multiplicity 4)
H11 0.2952 0.2397 0.2476 (multiplicity 4)
H12 0.3632 0.2621 0.8217 (multiplicity 4)
H13 0.3660 0.4389 0.5957 (multiplicity 4)
H14 0.3669 0.2194 0.4653 (multiplicity 4)
H15 0.3766 0.0734 0.9214 (multiplicity 4)
H16 0.4868 0.1027 0.2485 (multiplicity 4)
N1 0.1234 0.1785 0.1760 (multiplicity 4)
N2 0.2380 0.2025 0.1588 (multiplicity 4)
N3 0.3785 0.2243 0.9198 (multiplicity 4)
N4 0.4935 0.2930 0.9868 (multiplicity 4)


Diffraction record for Li3B3H16N2. The powder X-ray diffraction pattern is simulated, not measured: it uses a structure optimized by DFT (PBE) and Cu Kα (λ = 1.5418 Å).
Lines closer than 0.1° are merged.

Largest 10 diffraction maxima, in order of rising 2θ, 2θ = 5–70°:
- (1 0 0), 2θ 11.79, intensity 28
- (0 1 1), 2θ 16.79, intensity 37
- (1 1 -1), 2θ 20.25, intensity 50
- (1 1 1), 2θ 20.88, intensity 35
- (0 0 2), 2θ 22.64, intensity 56
- (0 2 0), 2θ 24.97, intensity 84
- (1 0 2), 2θ 26.12, intensity 100
- (2 1 0), 2θ 26.84, intensity 97
- (1 1 -2), 2θ 28.07, intensity 61
- (2 1 -1), 2θ 28.73, intensity 30

Structure:
Unit cell a=7.5148 b=7.1310 c=7.8630 alpha=90.00 beta=92.78 gamma=90.00
Space group P2_1 (No. 4)
Asymmetric unit:
Li1 0.0812 0.0000 0.3174 (multiplicity 2)
Li2 0.2851 0.5117 0.2016 (multiplicity 2)
Li3 0.3220 0.7381 0.7454 (multiplicity 2)
B1 0.1184 0.6801 0.4376 (multiplicity 2)
B2 0.1475 0.5271 0.9134 (multiplicity 2)
B3 0.3661 0.1592 0.2649 (multiplicity 2)
H1 0.0111 0.0641 0.0851 (multiplicity 2)
H2 0.0269 0.1625 0.5008 (multiplicity 2)
H3 0.0884 0.7258 0.2876 (multiplicity 2)
H4 0.1786 0.3867 0.9981 (multiplicity 2)
H5 0.1920 0.0865 0.7705 (multiplicity 2)
H6 0.1936 0.4922 0.7683 (multiplicity 2)
H7 0.2029 0.5340 0.4444 (multiplicity 2)
H8 0.2030 0.8060 0.5122 (multiplicity 2)
H9 0.2296 0.6641 0.9713 (multiplicity 2)
H10 0.2393 0.2470 0.3168 (multiplicity 2)
H11 0.3179 0.0072 0.2064 (multiplicity 2)
H12 0.3176 0.0365 0.9397 (multiplicity 2)
H13 0.4310 0.2489 0.1503 (multiplicity 2)
H14 0.4436 0.2674 0.7733 (multiplicity 2)
H15 0.4476 0.1181 0.6165 (multiplicity 2)
H16 0.4758 0.1336 0.3835 (multiplicity 2)
N1 0.3092 0.0224 0.8093 (multiplicity 2)
N2 0.4588 0.1271 0.7468 (multiplicity 2)